[1]
For Dy6HN5, a GGA-PBE-relaxed structure gives the simulated powder X-ray diffraction pattern in this record (Cu Ka).
Kinematic intensities with the Lorentz-polarization factor, no thermal factor.

Principal peaks in the range 5 to 70 degrees two-theta, in order of rising 2θ:
2θ/deg, d_spacing, I_rel
31.5, 2.839, 100
36.5, 2.463, 22
36.6, 2.456, 45
52.6, 1.739, 37
52.7, 1.736, 8
62.6, 1.484, 14
62.7, 1.481, 28
65.8, 1.419, 15

Structural model:
Lattice parameters (Å, degrees): 6.020 6.020 6.025 99.68 99.68 119.92
Fractional positions:
Dy 0.063 0.415 0.745
Dy 0.236 0.236 0.264
Dy 0.415 0.063 0.745
Dy 0.585 0.937 0.255
Dy 0.764 0.764 0.736
Dy 0.937 0.585 0.255
H 0.500 0.500 0.000
N 0.000 0.000 0.500
N 0.167 0.833 0.000
N 0.332 0.668 0.500
N 0.668 0.332 0.500
N 0.833 0.167 0.000

***

[2]
For NaDyH2S2O9, a GGA-PBE-relaxed structure gives the simulated powder X-ray diffraction pattern in this record (Cu Ka).
Kinematic intensities with the Lorentz-polarization factor, no thermal factor.

Principal peaks in the range 5 to 70 degrees two-theta, in order of rising 2θ:
2θ/deg, d_spacing, I_rel
14.8, 5.984, 41
16.3, 5.423, 100
25.8, 3.455, 34
29.9, 2.992, 52
31.6, 2.827, 59
42.4, 2.133, 23
49.3, 1.848, 36
54.1, 1.695, 23

Structural model:
Lattice parameters (Å, degrees): 6.910 6.910 12.830 90.00 90.00 120.00
Fractional positions:
Na 0.000 0.476 0.167
Na 0.476 0.000 0.833
Na 0.524 0.524 0.500
Dy 0.000 0.437 0.667
Dy 0.437 0.000 0.333
Dy 0.563 0.563 0.000
H 0.041 0.949 0.043
H 0.051 0.093 0.376
H 0.093 0.051 0.624
H 0.907 0.959 0.710
H 0.949 0.041 0.957
H 0.959 0.907 0.290
S 0.016 0.459 0.906
S 0.443 0.984 0.573
S 0.459 0.016 0.094
S 0.541 0.557 0.239
S 0.557 0.541 0.761
S 0.984 0.443 0.427
O 0.000 0.089 0.667
O 0.089 0.000 0.333
O 0.123 0.384 0.496
O 0.126 0.621 0.352
O 0.133 0.650 0.832
O 0.175 0.418 0.967
O 0.243 0.825 0.633
O 0.261 0.877 0.163
O 0.350 0.483 0.166
O 0.379 0.505 0.686
O 0.384 0.123 0.504
O 0.418 0.175 0.033
O 0.483 0.350 0.834
O 0.495 0.874 0.019
O 0.505 0.379 0.314
O 0.517 0.867 0.499
O 0.582 0.757 0.300
O 0.616 0.739 0.829
O 0.621 0.126 0.648
O 0.650 0.133 0.168
O 0.739 0.616 0.171
O 0.757 0.582 0.700
O 0.825 0.243 0.367
O 0.867 0.517 0.501
O 0.874 0.495 0.981
O 0.877 0.261 0.837
O 0.911 0.911 0.000

***

[3]
For NdDy3H8, a GGA-PBE-relaxed structure gives the simulated powder X-ray diffraction pattern in this record (Cu Ka).
Kinematic intensities with the Lorentz-polarization factor, no thermal factor.

Principal peaks in the range 5 to 70 degrees two-theta, in order of rising 2θ:
2θ/deg, d_spacing, I_rel
29.5, 3.032, 100
34.1, 2.626, 49
49.1, 1.857, 38
58.3, 1.583, 44
61.1, 1.516, 12

Structural model:
Lattice parameters (Å, degrees): 5.252 5.252 5.252 90.00 90.00 90.00
Fractional positions:
Nd 0.000 0.000 0.000
Dy 0.000 0.500 0.500
Dy 0.500 0.000 0.500
Dy 0.500 0.500 0.000
H 0.258 0.258 0.258
H 0.258 0.258 0.742
H 0.258 0.742 0.258
H 0.258 0.742 0.742
H 0.742 0.258 0.258
H 0.742 0.258 0.742
H 0.742 0.742 0.258
H 0.742 0.742 0.742

***

[4]
For DyNi2H8, a GGA-PBE-relaxed structure gives the simulated powder X-ray diffraction pattern in this record (Cu Ka).
Kinematic intensities with the Lorentz-polarization factor, no thermal factor.

Principal peaks in the range 5 to 70 degrees two-theta, in order of rising 2θ:
2θ/deg, d_spacing, I_rel
17.9, 4.944, 33
25.5, 3.496, 66
28.7, 3.112, 51
38.7, 2.325, 100
40.8, 2.211, 38
54.2, 1.694, 21
55.8, 1.648, 14
60.8, 1.525, 15

Structural model:
Lattice parameters (Å, degrees): 5.238 5.238 3.476 109.29 109.29 83.73
Fractional positions:
Dy 0.000 0.000 0.000
Ni 0.322 0.678 0.500
Ni 0.678 0.322 0.500
H 0.010 0.684 0.346
H 0.316 0.990 0.654
H 0.323 0.677 0.000
H 0.347 0.347 0.344
H 0.653 0.653 0.656
H 0.677 0.323 0.000
H 0.684 0.010 0.346
H 0.990 0.316 0.654

***

[5]
For DyNi6H12, a GGA-PBE-relaxed structure gives the simulated powder X-ray diffraction pattern in this record (Cu Ka).
Kinematic intensities with the Lorentz-polarization factor, no thermal factor.

Principal peaks in the range 5 to 70 degrees two-theta, in order of rising 2θ:
2θ/deg, d_spacing, I_rel
18.9, 4.703, 17
31.7, 2.822, 17
35.4, 2.534, 100
42.5, 2.127, 27
44.0, 2.058, 51
44.5, 2.037, 16
63.2, 1.471, 15
65.1, 1.433, 17

Structural model:
Lattice parameters (Å, degrees): 5.318 5.318 5.318 106.26 106.26 106.26
Fractional positions:
Dy 0.000 0.000 0.000
Ni 0.227 0.227 0.623
Ni 0.227 0.623 0.227
Ni 0.377 0.773 0.773
Ni 0.623 0.227 0.227
Ni 0.773 0.377 0.773
Ni 0.773 0.773 0.377
H 0.129 0.500 0.871
H 0.129 0.871 0.500
H 0.196 0.449 0.449
H 0.449 0.196 0.449
H 0.449 0.449 0.196
H 0.500 0.129 0.871
H 0.500 0.871 0.129
H 0.551 0.551 0.804
H 0.551 0.804 0.551
H 0.804 0.551 0.551
H 0.871 0.129 0.500
H 0.871 0.500 0.129

***

[6]
For DyH3O3, a GGA-PBE-relaxed structure gives the simulated powder X-ray diffraction pattern in this record (Cu Ka).
Kinematic intensities with the Lorentz-polarization factor, no thermal factor.

Principal peaks in the range 5 to 70 degrees two-theta, in order of rising 2θ:
2θ/deg, d_spacing, I_rel
16.1, 5.492, 100
28.1, 3.171, 74
30.0, 2.978, 98
41.6, 2.171, 68
49.8, 1.831, 25
51.0, 1.791, 64
59.8, 1.547, 19
66.9, 1.399, 21

Structural model:
Lattice parameters (Å, degrees): 6.342 6.342 3.544 90.00 90.00 120.00
Fractional positions:
Dy 0.333 0.667 0.250
Dy 0.667 0.333 0.750
H 0.138 0.859 0.750
H 0.141 0.279 0.750
H 0.279 0.138 0.250
H 0.721 0.862 0.750
H 0.859 0.721 0.250
H 0.862 0.141 0.250
O 0.085 0.397 0.750
O 0.312 0.915 0.750
O 0.397 0.312 0.250
O 0.603 0.688 0.750
O 0.688 0.085 0.250
O 0.915 0.603 0.250

***

[7]
For DyP2H5O10, a GGA-PBE-relaxed structure gives the simulated powder X-ray diffraction pattern in this record (Cu Ka).
Kinematic intensities with the Lorentz-polarization factor, no thermal factor.

Principal peaks in the range 5 to 70 degrees two-theta, in order of rising 2θ:
2θ/deg, d_spacing, I_rel
9.1, 9.767, 100
17.5, 5.057, 12
18.2, 4.884, 9
18.9, 4.689, 11
19.4, 4.569, 9
24.3, 3.657, 14
25.9, 3.438, 16
26.3, 3.392, 15

Structural model:
Lattice parameters (Å, degrees): 6.456 6.943 9.947 82.09 82.40 89.13
Fractional positions:
Dy 0.000 0.000 0.000
Dy 0.268 0.482 0.076
P 0.439 0.975 0.107
P 0.569 0.597 0.746
P 0.699 0.884 0.330
P 0.829 0.507 0.969
H 0.002 0.036 0.701
H 0.264 0.445 0.375
H 0.347 0.215 0.802
H 0.392 0.995 0.776
H 0.493 0.532 0.324
H 0.620 0.918 0.552
H 0.648 0.563 0.525
H 0.773 0.950 0.754
H 0.875 0.487 0.300
H 0.922 0.267 0.274
O 0.123 0.681 0.540
O 0.154 0.858 0.527
O 0.283 0.086 0.809
O 0.297 0.154 0.097
O 0.298 0.809 0.082
O 0.376 0.461 0.299
O 0.386 0.507 0.845
O 0.483 0.932 0.265
O 0.564 0.818 0.706
O 0.596 0.487 0.618
O 0.623 0.488 0.060
O 0.646 0.994 0.016
O 0.673 0.994 0.459
O 0.704 0.663 0.371
O 0.785 0.549 0.811
O 0.882 0.974 0.232
O 0.892 0.022 0.778
O 0.970 0.672 0.995
O 0.972 0.328 0.980
O 0.985 0.396 0.268

***

[8]
For DyH2PdO4, a GGA-PBE-relaxed structure gives the simulated powder X-ray diffraction pattern in this record (Cu Ka).
Kinematic intensities with the Lorentz-polarization factor, no thermal factor.

Principal peaks in the range 5 to 70 degrees two-theta, in order of rising 2θ:
2θ/deg, d_spacing, I_rel
24.6, 3.614, 100
30.1, 2.973, 20
33.5, 2.675, 26
39.2, 2.296, 75
45.6, 1.989, 22
48.1, 1.891, 25
50.5, 1.807, 17
59.9, 1.544, 19

Structural model:
Lattice parameters (Å, degrees): 4.691 4.691 4.691 116.99 110.47 101.33
Fractional positions:
Dy 0.000 0.000 0.000
H 0.292 0.792 0.500
H 0.708 0.208 0.500
Pd 0.500 0.500 0.000
O 0.157 0.988 0.570
O 0.419 0.587 0.430
O 0.581 0.012 0.169
O 0.843 0.413 0.831

***

[9]
For DyH6Pd8, a GGA-PBE-relaxed structure gives the simulated powder X-ray diffraction pattern in this record (Cu Ka).
Kinematic intensities with the Lorentz-polarization factor, no thermal factor.

Principal peaks in the range 5 to 70 degrees two-theta, in order of rising 2θ:
2θ/deg, d_spacing, I_rel
37.5, 2.401, 100
37.5, 2.396, 33
41.4, 2.181, 26
44.4, 2.039, 21
44.8, 2.025, 21
62.5, 1.487, 7
62.6, 1.484, 15
64.9, 1.437, 13

Structural model:
Lattice parameters (Å, degrees): 4.050 6.442 6.847 106.21 90.02 108.31
Fractional positions:
Dy 0.000 0.000 0.000
H 0.078 0.159 0.383
H 0.291 0.591 0.706
H 0.386 0.772 0.283
H 0.614 0.228 0.717
H 0.709 0.409 0.294
H 0.922 0.841 0.617
Pd 0.115 0.230 0.675
Pd 0.220 0.441 0.329
Pd 0.333 0.665 0.998
Pd 0.446 0.893 0.668
Pd 0.554 0.107 0.332
Pd 0.667 0.335 0.002
Pd 0.780 0.559 0.671
Pd 0.885 0.770 0.325

***

[10]
For DyH4Pd6, a GGA-PBE-relaxed structure gives the simulated powder X-ray diffraction pattern in this record (Cu Ka).
Kinematic intensities with the Lorentz-polarization factor, no thermal factor.

Principal peaks in the range 5 to 70 degrees two-theta, in order of rising 2θ:
2θ/deg, d_spacing, I_rel
18.8, 4.720, 23
36.9, 2.435, 6
37.1, 2.426, 6
38.1, 2.360, 100
42.4, 2.130, 19
45.1, 2.010, 15
45.4, 2.000, 15
63.8, 1.459, 10

Structural model:
Lattice parameters (Å, degrees): 5.667 5.673 5.840 118.80 118.90 90.29
Fractional positions:
Dy 0.000 0.000 0.000
H 0.201 0.731 0.433
H 0.257 0.330 0.582
H 0.683 0.679 0.430
H 0.712 0.203 0.435
Pd 0.030 0.030 0.519
Pd 0.489 0.487 0.514
Pd 0.499 0.998 0.996
Pd 0.512 0.973 0.486
Pd 0.976 0.514 0.489
Pd 0.996 0.497 0.996

***

[11]
For DyH4Pd3, a GGA-PBE-relaxed structure gives the simulated powder X-ray diffraction pattern in this record (Cu Ka).
Kinematic intensities with the Lorentz-polarization factor, no thermal factor.

Principal peaks in the range 5 to 70 degrees two-theta, in order of rising 2θ:
2θ/deg, d_spacing, I_rel
22.9, 3.876, 8
32.7, 2.741, 42
36.7, 2.452, 85
40.3, 2.238, 100
58.3, 1.583, 4
60.9, 1.520, 19
63.5, 1.465, 52
68.5, 1.371, 17

Structural model:
Lattice parameters (Å, degrees): 5.482 5.482 5.482 90.00 90.00 90.00
Fractional positions:
Dy 0.000 0.000 0.000
Dy 0.500 0.500 0.500
H 0.250 0.250 0.250
H 0.250 0.250 0.750
H 0.250 0.750 0.250
H 0.250 0.750 0.750
H 0.750 0.250 0.250
H 0.750 0.250 0.750
H 0.750 0.750 0.250
H 0.750 0.750 0.750
Pd 0.000 0.250 0.500
Pd 0.000 0.750 0.500
Pd 0.250 0.500 0.000
Pd 0.500 0.000 0.250
Pd 0.500 0.000 0.750
Pd 0.750 0.500 0.000

***

Which formula does entry 1 have? Dy6HN5